Record 1
# Hf8GeMo5
Computed PXRD pattern, Cu Kα (weighted mean of Kα1 and Kα2). Input: a cell relaxed with PBE.

Most intense lines, 2θ = 5–70°, by intensity:
2θ/deg	d/Å	Rel. int.
38.52	2.337	100
38.24	2.354	91
37.74	2.384	81
31.48	2.842	75
37.62	2.391	68
66.21	1.412	58
39.11	2.303	55
41.09	2.197	45
65.00	1.435	37
42.71	2.117	31
39.50	2.281	31
41.62	2.170	26

Crystal structure
```
Hf8GeMo5
1.0
8.7877 0.0000 0.0000
0.0000 4.3397 7.2747
0.0000 -4.3397 7.2747
Hf Ge Mo
16 2 10
Direct
0.0000 0.0506 0.0506
0.2012 0.4020 0.4020
0.2028 0.4074 0.9962
0.2028 0.9962 0.4074
0.2785 0.8070 0.8070
0.2914 0.2058 0.7942
0.2914 0.7942 0.2058
0.5000 0.1333 0.5311
0.5000 0.1410 0.1410
0.5000 0.5311 0.1333
0.7086 0.2058 0.7942
0.7086 0.7942 0.2058
0.7215 0.8070 0.8070
0.7972 0.4074 0.9962
0.7972 0.9962 0.4074
0.7988 0.4020 0.4020
0.0000 0.2639 0.2639
0.5000 0.9370 0.9370
0.0000 0.0768 0.6548
0.0000 0.3809 0.7080
0.0000 0.6548 0.0768
0.0000 0.7080 0.3809
0.0000 0.7137 0.7137
0.2489 0.6032 0.6032
0.5000 0.4912 0.4912
0.5000 0.4936 0.8221
0.5000 0.8221 0.4936
0.7511 0.6032 0.6032
```

Record 2
# HfGeMo
Computed PXRD pattern, Cu Kα (weighted mean of Kα1 and Kα2). Input: a cell relaxed with PBE.

Most intense lines, 2θ = 5–70°, by intensity:
2θ/deg	d/Å	Rel. int.
35.55	2.526	100
37.64	2.390	82
34.77	2.580	51
36.00	2.495	45
44.60	2.032	37
51.22	1.783	32
43.28	2.090	30
63.40	1.467	23
40.23	2.242	17
41.21	2.191	15
67.62	1.385	14
65.61	1.423	14

Crystal structure
```
HfGeMo
1.0
6.9823 0.0000 0.0000
0.0000 3.5667 0.0000
0.0000 0.0000 8.3288
Hf Ge Mo
4 4 4
Direct
0.0456 0.2500 0.1673
0.4544 0.7500 0.6673
0.5456 0.2500 0.3327
0.9544 0.7500 0.8327
0.2444 0.7500 0.3619
0.2556 0.2500 0.8619
0.7444 0.7500 0.1381
0.7556 0.2500 0.6381
0.1342 0.2500 0.5633
0.3658 0.7500 0.0633
0.6342 0.2500 0.9367
0.8658 0.7500 0.4367
```

Record 3
# Hf9GeMo4
Computed PXRD pattern, Cu Kα (weighted mean of Kα1 and Kα2). Input: a cell relaxed with PBE.

Most intense lines, 2θ = 5–70°, by intensity:
2θ/deg	d/Å	Rel. int.
37.82	2.379	100
31.46	2.843	60
37.37	2.407	52
39.21	2.297	38
41.65	2.169	29
62.69	1.482	28
65.74	1.420	27
65.24	1.430	26
33.07	2.709	21
41.46	2.178	20
35.86	2.504	18
64.45	1.446	12

Crystal structure
```
Hf9GeMo4
1.0
8.6746 0.0000 0.0000
-4.3373 7.5124 0.0000
0.0000 0.0000 8.7114
Hf Ge Mo
18 2 8
Direct
0.0768 0.5384 0.2500
0.1965 0.3930 0.5433
0.1965 0.3930 0.9567
0.1965 0.8035 0.5433
0.1965 0.8035 0.9567
0.3930 0.1965 0.0433
0.3930 0.1965 0.4567
0.4616 0.5384 0.2500
0.4616 0.9232 0.2500
0.5384 0.0768 0.7500
0.5384 0.4616 0.7500
0.6070 0.8035 0.5433
0.6070 0.8035 0.9567
0.8035 0.1965 0.0433
0.8035 0.1965 0.4567
0.8035 0.6070 0.0433
0.8035 0.6070 0.4567
0.9232 0.4616 0.7500
0.3333 0.6667 0.7500
0.6667 0.3333 0.2500
0.0000 0.0000 0.0000
0.0000 0.0000 0.5000
0.1100 0.2201 0.2500
0.1100 0.8900 0.2500
0.2201 0.1100 0.7500
0.7799 0.8900 0.2500
0.8900 0.1100 0.7500
0.8900 0.7799 0.7500
```